[1]
Computed X-ray powder pattern
Compound: NaCaTiMnSi2O8F
Radiation: Cu Kα, 1.54184 Å
Structure: a structure optimized by DFT (GGA+U)
Peak positions follow from Bragg's law for the DFT cell and can differ from measured ones.

Structural model:
a b c (Å): 7.093 9.869 10.914
angles (deg): 90.00 107.89 90.00
Space group P2_1/c (No. 14)
Inequivalent atoms, fractional coordinates:
1 Na 0.163 0.121 0.074 x4
2 Ca 0.025 0.609 0.802 x4
3 Ti 0.478 0.101 0.717 x4
4 Mn 0.364 0.630 0.439 x4
5 Si 0.174 0.667 0.122 x4
6 Si 0.290 0.165 0.379 x4
7 O 0.048 0.161 0.357 x4
8 O 0.152 0.737 0.984 x4
9 O 0.242 0.507 0.132 x4
10 O 0.295 0.235 0.758 x4
11 O 0.302 0.746 0.748 x4
12 O 0.339 0.010 0.346 x4
13 O 0.405 0.221 0.522 x4
14 O 0.460 0.526 0.627 x4
15 F 0.099 0.005 0.888 x4

Principal peaks in the range 15° ≤ 2θ ≤ 90°, low angle first:
- 27.30°, I 30
- 31.06°, I 100
- 31.57°, I 66
- 32.17°, I 13
- 51.55°, I 21
- 52.07°, I 15
- 52.60°, I 17
- 53.77°, I 12
- 59.74°, I 12
- 62.19°, I 12

[2]
Computed X-ray powder pattern
Compound: Li9Mn2Co5O16
Radiation: Cu Kα, 1.54184 Å
Structure: a structure optimized by DFT (GGA+U)
Peak positions follow from Bragg's law for the DFT cell and can differ from measured ones.

Structural model:
a b c (Å): 38.939 2.879 5.173
angles (deg): 90.00 91.84 90.00
Space group Cm (No. 8)
Inequivalent atoms, fractional coordinates:
1 Li 0.000 0.000 0.000 x2
2 Li 0.001 0.500 0.501 x2
3 Li 0.129 0.000 0.380 x2
4 Li 0.129 0.500 0.878 x2
5 Li 0.254 0.000 0.762 x2
6 Li 0.256 0.500 0.271 x2
7 Li 0.315 0.000 0.439 x2
8 Li 0.374 0.500 0.605 x2
9 Li 0.376 0.000 0.116 x2
10 Mn 0.065 0.500 0.189 x2
11 Mn 0.315 0.500 0.938 x2
12 Co 0.065 0.000 0.689 x2
13 Co 0.190 0.000 0.067 x2
14 Co 0.190 0.500 0.566 x2
15 Co 0.439 0.000 0.811 x2
16 Co 0.439 0.500 0.312 x2
17 O 0.036 0.000 0.321 x2
18 O 0.037 0.500 0.821 x2
19 O 0.092 0.500 0.558 x2
20 O 0.093 0.000 0.056 x2
21 O 0.160 0.000 0.720 x2
22 O 0.160 0.500 0.224 x2
23 O 0.218 0.500 0.912 x2
24 O 0.219 0.000 0.410 x2
25 O 0.286 0.500 0.629 x2
26 O 0.287 0.000 0.081 x2
27 O 0.342 0.000 0.796 x2
28 O 0.344 0.500 0.249 x2
29 O 0.411 0.000 0.463 x2
30 O 0.412 0.500 0.961 x2
31 O 0.469 0.000 0.160 x2
32 O 0.469 0.500 0.660 x2

Principal peaks in the range 15° ≤ 2θ ≤ 90°, low angle first:
- 18.24°, I 100
- 35.16°, I 17
- 36.27°, I 26
- 36.99°, I 8
- 42.60°, I 30
- 43.83°, I 54
- 47.57°, I 10
- 57.58°, I 10
- 62.71°, I 23
- 62.82°, I 15

[3]
Computed X-ray powder pattern
Compound: FeP4O12
Radiation: Cu Kα, 1.54184 Å
Structure: a structure optimized by DFT (GGA+U)
Peak positions follow from Bragg's law for the DFT cell and can differ from measured ones.

Structural model:
a b c (Å): 15.370 7.408 9.598
angles (deg): 90.00 122.44 90.00
Space group C2/c (No. 15)
Inequivalent atoms, fractional coordinates:
1 Fe 0.000 0.135 0.250 x4
2 P 0.134 0.168 0.665 x8
3 P 0.134 0.430 0.145 x8
4 O 0.065 0.070 0.705 x8
5 O 0.074 0.429 0.961 x8
6 O 0.101 0.299 0.228 x8
7 O 0.111 0.153 0.492 x8
8 O 0.142 0.373 0.722 x8
9 O 0.248 0.101 0.794 x8

Principal peaks in the range 15° ≤ 2θ ≤ 90°, low angle first:
- 18.59°, I 49
- 21.08°, I 51
- 21.95°, I 69
- 22.62°, I 32
- 23.81°, I 42
- 26.97°, I 100
- 27.51°, I 25
- 31.71°, I 23
- 33.82°, I 25
- 35.03°, I 22

[4]
Computed X-ray powder pattern
Compound: Li9Mn7O16
Radiation: Cu Kα, 1.54184 Å
Structure: a structure optimized by DFT (GGA+U)
Peak positions follow from Bragg's law for the DFT cell and can differ from measured ones.

Structural model:
a b c (Å): 5.302 6.086 10.419
angles (deg): 103.55 95.70 110.67
Space group P-1 (No. 2)
Inequivalent atoms, fractional coordinates:
1 Li 0.000 0.000 0.000 x1
2 Li 0.494 0.426 0.120 x2
3 Li 0.495 0.944 0.122 x2
4 Li 0.497 0.310 0.372 x2
5 Li 0.499 0.815 0.377 x2
6 Mn 0.000 0.500 0.000 x1
7 Mn 0.002 0.750 0.501 x2
8 Mn 0.003 0.872 0.246 x2
9 Mn 0.005 0.365 0.246 x2
10 O 0.208 0.300 0.935 x2
11 O 0.217 0.396 0.683 x2
12 O 0.225 0.149 0.193 x2
13 O 0.231 0.507 0.428 x2
14 O 0.232 0.760 0.932 x2
15 O 0.233 0.009 0.433 x2
16 O 0.237 0.889 0.684 x2
17 O 0.239 0.630 0.177 x2

Principal peaks in the range 15° ≤ 2θ ≤ 90°, low angle first:
- 18.25°, I 100
- 33.71°, I 18
- 36.17°, I 23
- 40.49°, I 36
- 44.18°, I 55
- 58.24°, I 10
- 61.12°, I 9
- 61.32°, I 8
- 61.61°, I 8
- 61.81°, I 8

> Which formula does entry 4 have?

Li9Mn7O16

> What is the formula in the third record?

FeP4O12